# ZrAlI
Computed powder X-ray diffraction pattern, CuKα. Input: a crystal structure in Alexandria, relaxed with PBE.
No peak broadening, texture or thermal motion is included.

Atomic structure:
```
ZrAlI
1.0
3.5334 0.0000 0.0000
-0.0001 4.1885 0.0000
-0.4557 -1.4794 12.5446
Zr Al I
2 2 2
Direct
0.0179 0.2995 0.1397
0.9821 0.7005 0.8603
0.4922 0.2286 0.9394
0.5078 0.7714 0.0606
0.4584 0.6359 0.6766
0.5416 0.3641 0.3234
```

Most intense lines, 10° ≤ 2θ ≤ 90°, by angle:
Position (°2θ)	I_rel
14.12	51
21.36	44
21.71	100
23.30	46
32.59	53
33.81	57
36.90	49
37.77	41
37.89	39
43.24	36

***

# Al3In
Computed powder X-ray diffraction pattern, CuKα. Input: a crystal structure in Alexandria, relaxed with PBE.
No peak broadening, texture or thermal motion is included.

Atomic structure:
```
Al3In
1.0
4.3450 0.0000 0.0000
0.0000 5.7880 0.0000
0.0000 0.0000 6.4983
Al In
6 2
Direct
0.2500 0.0117 0.1391
0.2500 0.2500 0.7574
0.2500 0.4883 0.1391
0.7500 0.5117 0.8609
0.7500 0.7500 0.2426
0.7500 0.9883 0.8609
0.2500 0.7500 0.5846
0.7500 0.2500 0.4154
```

Most intense lines, 10° ≤ 2θ ≤ 90°, by angle:
Position (°2θ)	I_rel
13.63	52
25.64	46
29.14	100
31.58	38
33.91	55
34.47	68
37.91	32
39.92	62
41.57	34
44.67	29

***

# Al7In6
Computed powder X-ray diffraction pattern, CuKα. Input: a crystal structure in Alexandria, relaxed with PBE.
No peak broadening, texture or thermal motion is included.

Atomic structure:
```
Al7In6
1.0
2.7865 1.6088 10.4740
-2.7865 1.6088 10.4740
0.0000 -3.2176 10.4740
Al In
7 6
Direct
0.0000 0.0000 0.0000
0.0905 0.0905 0.5903
0.0905 0.5903 0.0905
0.4097 0.9095 0.9095
0.5903 0.0905 0.0905
0.9095 0.4097 0.9095
0.9095 0.9095 0.4097
0.1644 0.1644 0.1644
0.3463 0.3463 0.3463
0.4509 0.4509 0.4509
0.5491 0.5491 0.5491
0.6537 0.6537 0.6537
0.8356 0.8356 0.8356
```

Most intense lines, 10° ≤ 2θ ≤ 90°, by angle:
Position (°2θ)	I_rel
16.93	20
18.60	22
32.12	100
34.05	73
36.54	99
37.37	17
57.26	18
58.50	29
60.18	30
67.19	20

***

# AlInIr
Computed powder X-ray diffraction pattern, CuKα. Input: a crystal structure in Alexandria, relaxed with PBE.
No peak broadening, texture or thermal motion is included.

Atomic structure:
```
AlInIr
1.0
3.0310 0.0000 0.0000
0.0000 3.7070 0.0000
0.0000 0.0000 9.0118
Al In Ir
2 2 2
Direct
0.0000 0.0000 0.0000
0.5000 0.5000 0.5000
0.0000 0.0000 0.6953
0.5000 0.5000 0.1953
0.0000 0.0000 0.3825
0.5000 0.5000 0.8825
```

Most intense lines, 10° ≤ 2θ ≤ 90°, by angle:
Position (°2θ)	I_rel
19.70	36
25.99	58
31.13	37
38.36	100
38.58	91
42.36	70
49.16	25
56.64	24
66.87	36
74.68	26

***

# KAlInO4
Computed powder X-ray diffraction pattern, CuKα. Input: a crystal structure in Alexandria, relaxed with PBE.
No peak broadening, texture or thermal motion is included.

Atomic structure:
```
KAlInO4
1.0
5.7226 0.0000 0.0000
0.0000 5.7226 0.0000
0.0000 0.0000 8.4985
K Al In O
2 2 2 8
Direct
0.0000 0.0000 0.0000
0.5000 0.5000 0.5000
0.0000 0.5000 0.7500
0.5000 0.0000 0.2500
0.0000 0.0000 0.5000
0.5000 0.5000 0.0000
0.1204 0.2805 0.6291
0.2195 0.6204 0.8709
0.2805 0.8796 0.3709
0.3796 0.2195 0.1291
0.6204 0.7805 0.1291
0.7195 0.1204 0.3709
0.7805 0.3796 0.8709
0.8796 0.7195 0.6291
```

Most intense lines, 10° ≤ 2θ ≤ 90°, by angle:
Position (°2θ)	I_rel
18.69	96
20.91	28
21.97	45
30.51	100
31.26	31
36.67	16
37.91	28
47.90	17
53.74	23
55.17	32

***

# La2AlIn3
Computed powder X-ray diffraction pattern, CuKα. Input: a crystal structure in Alexandria, relaxed with PBE.
No peak broadening, texture or thermal motion is included.

Atomic structure:
```
La2AlIn3
1.0
0.0000 4.9116 8.5200
3.9171 0.0000 8.5200
3.9171 4.9116 0.0000
La Al In
4 2 6
Direct
0.2475 0.7525 0.7525
0.2500 0.2500 0.2500
0.7500 0.7500 0.7500
0.7525 0.2475 0.2475
0.3335 0.3335 0.6665
0.6665 0.6665 0.3335
0.1702 0.1702 0.8298
0.1710 0.6586 0.3414
0.3414 0.8290 0.1710
0.6586 0.1710 0.8290
0.8290 0.3414 0.6586
0.8298 0.8298 0.1702
```

Most intense lines, 10° ≤ 2θ ≤ 90°, by angle:
Position (°2θ)	I_rel
31.03	100
36.56	63
46.36	11
48.69	28
60.44	28
62.40	26
65.82	11
76.28	7
84.27	11
85.97	7

***

# La9AlIn2
Computed powder X-ray diffraction pattern, CuKα. Input: a crystal structure in Alexandria, relaxed with PBE.
No peak broadening, texture or thermal motion is included.

Atomic structure:
```
La9AlIn2
1.0
5.0324 0.0000 0.0000
0.0000 5.0324 0.0000
0.0000 0.0000 15.0894
La Al In
9 1 2
Direct
0.0000 0.0000 0.0000
0.0000 0.0000 0.3301
0.0000 0.0000 0.6699
0.0000 0.5000 0.1614
0.0000 0.5000 0.5000
0.0000 0.5000 0.8386
0.5000 0.0000 0.1614
0.5000 0.0000 0.5000
0.5000 0.0000 0.8386
0.5000 0.5000 0.0000
0.5000 0.5000 0.3316
0.5000 0.5000 0.6684
```

Most intense lines, 10° ≤ 2θ ≤ 90°, by angle:
Position (°2θ)	I_rel
17.63	3
25.03	3
30.78	100
35.69	50
51.36	35
61.08	41
64.11	12
75.59	5
83.80	17
86.50	16

***

# La6AlIn
Computed powder X-ray diffraction pattern, CuKα. Input: a crystal structure in Alexandria, relaxed with PBE.
No peak broadening, texture or thermal motion is included.

Atomic structure:
```
La6AlIn
1.0
6.1953 0.0000 0.0000
-0.0614 6.4971 0.0000
-0.0334 -1.5682 6.3368
La Al In
6 1 1
Direct
0.2316 0.1436 0.1469
0.2432 0.0095 0.6121
0.2448 0.6119 0.0082
0.7552 0.3881 0.9918
0.7568 0.9905 0.3879
0.7684 0.8564 0.8531
0.0000 0.5000 0.5000
0.5000 0.5000 0.5000
```

Most intense lines, 10° ≤ 2θ ≤ 90°, by angle:
Position (°2θ)	I_rel
22.15	14
28.30	14
28.82	32
31.66	26
31.85	100
32.02	51
32.30	18
34.64	27
34.99	14
36.43	16